Starting from a structure optimized by DFT (PBE), the powder X-ray diffraction pattern of La5Pd3 was simulated for a wavelength of 1.5418 Å.
Kinematic intensities with the Lorentz-polarization factor, no thermal factor.

Largest 10 diffraction maxima, low angle first, 15° ≤ 2θ ≤ 90°:
2θ/deg	I/Imax
27.6	57
30.7	48
31.7	36
34.4	100
35.3	20
36.2	20
36.9	16
44.0	15
55.7	14
57.5	17

Atomic structure:
a = 11.673 Å, b = 11.673 Å, c = 6.717 Å
α = 90.00°, β = 90.00°, γ = 90.00°
Space group P4/ncc (No. 130, origin choice 2)
Asymmetric unit:
1 La 0.042 0.159 0.125
2 La 0.250 0.750 0.000
3 Pd 0.094 0.594 0.750
4 Pd 0.250 0.250 0.382